No. 1
For AuS4Br2, a crystal structure in Alexandria, relaxed with PBE gives the computed powder diffraction line list in this record (copper Kα).
Intensities are scaled so that the largest is 100.

Structure:
```
data_AuS4Br2
_space_group_name_H-M_alt 'C 1 c 1'
_space_group_IT_number 9
_cell_length_a 16.242
_cell_length_b 7.290
_cell_length_c 12.703
_cell_angle_alpha 90.00
_cell_angle_beta 123.20
_cell_angle_gamma 90.00
loop_
_space_group_symop_operation_xyz
'x,y,z'
'x,-y,z+1/2'
'x+1/2,y+1/2,z'
'x+1/2,-y+1/2,z+1/2'
loop_
_atom_site_label
_atom_site_type_symbol
_atom_site_fract_x
_atom_site_fract_y
_atom_site_fract_z
Au1 Au 0.000 0.071 0.000
S1 S 0.302 0.310 0.509
S2 S 0.334 0.339 0.384
S3 S 0.362 0.347 0.159
S4 S 0.492 0.389 0.308
Br1 Br 0.139 0.036 0.699
Br2 Br 0.344 0.006 0.095
```

Most intense lines, 2θ from 5° to 70°, by angle:
| 2θ (°) | I_rel | index |
| --- | --- | --- |
| 13.0 | 22 | 2 0 0 |
| 13.8 | 100 | 1 1 0 |
| 14.1 | 23 | 1 1 -1 |
| 16.7 | 18 | 0 0 2 |
| 18.7 | 32 | 1 1 -2 |
| 21.3 | 43 | 3 1 -2 |
| 22.0 | 31 | 4 0 -2 |
| 25.8 | 18 | 0 2 1 |
| 29.2 | 17 | 4 0 -4 |
| 35.3 | 17 | 5 1 0 |

=====

No. 2
For Tl2SbAuBr6, a crystal structure in Alexandria, relaxed with PBE gives the computed powder diffraction line list in this record (copper Kα).
Intensities are scaled so that the largest is 100.

Structure:
```
data_Tl2SbAuBr6
_space_group_name_H-M_alt 'P 1'
_space_group_IT_number 1
_cell_length_a 7.995
_cell_length_b 8.147
_cell_length_c 8.165
_cell_angle_alpha 90.99
_cell_angle_beta 118.99
_cell_angle_gamma 118.86
loop_
_space_group_symop_operation_xyz
'x,y,z'
loop_
_atom_site_label
_atom_site_type_symbol
_atom_site_fract_x
_atom_site_fract_y
_atom_site_fract_z
Tl1 Tl 0.000 0.000 0.000
Tl2 Tl 0.151 0.756 0.563
Sb1 Sb 0.559 0.893 0.294
Au1 Au 0.362 0.188 0.836
Br1 Br 0.059 0.238 0.629
Br2 Br 0.119 0.658 0.982
Br3 Br 0.444 0.113 0.437
Br4 Br 0.509 0.667 0.523
Br5 Br 0.690 0.174 0.063
Br6 Br 0.703 0.695 0.161
```

Most intense lines, 2θ from 5° to 70°, by angle:
| 2θ (°) | I_rel | index |
| --- | --- | --- |
| 13.1 | 63 | 0 1 0 |
| 21.5 | 27 | 0 1 1 |
| 21.7 | 32 | 1 -1 1 |
| 25.3 | 39 | 1 0 1 |
| 25.5 | 100 | 1 1 -2 |
| 26.0 | 28 | -2 2 1 |
| 26.4 | 34 | 0 2 0 |
| 27.0 | 44 | 2 0 -2 |
| 40.3 | 38 | 0 2 -3 |
| 46.6 | 30 | 2 -4 1 |

=====

No. 3
For Sm2AuBr2, a crystal structure in Alexandria, relaxed with PBE gives the computed powder diffraction line list in this record (copper Kα).
Intensities are scaled so that the largest is 100.

Structure:
```
data_Sm2AuBr2
_space_group_name_H-M_alt 'R -3 m'
_space_group_IT_number 166
_space_group_name_Hall '-R 3 2"'
_cell_length_a 4.0959
_cell_length_b 4.0959
_cell_length_c 33.6169
_cell_angle_alpha 90.00
_cell_angle_beta 90.00
_cell_angle_gamma 120.00
loop_
_atom_site_label
_atom_site_type_symbol
_atom_site_fract_x
_atom_site_fract_y
_atom_site_fract_z
Sm1 Sm 0.0000 0.0000 0.1120
Au1 Au 0.0000 0.0000 0.5000
Br1 Br 0.0000 0.0000 0.2775
```

Most intense lines, 2θ from 5° to 70°, by angle:
| 2θ (°) | I_rel | index |
| --- | --- | --- |
| 7.9 | 100 | 0 0 3 |
| 28.4 | 88 | 0 1 5 |
| 33.0 | 36 | 0 1 8 |
| 36.8 | 24 | 1 0 10 |
| 43.3 | 29 | 1 0 13 |
| 44.2 | 32 | 1 1 0 |
| 45.0 | 10 | 1 1 3 |
| 53.4 | 15 | 2 0 5 |
| 63.6 | 9 | 0 2 13 |
| 67.9 | 18 | 1 1 18 |